[1]
NaMg14SiO16: calculated X-ray diffraction stick pattern (Cu Kα (weighted mean of Kα1 and Kα2)), based on a crystal structure in the Materials Project, relaxed with GGA-PBE.
Neutral-atom scattering factors, no anomalous dispersion.

Largest 6 diffraction maxima, in order of falling intensity, 5 to 70 degrees two-theta:
(4 0 0), 2θ = 42.3°, 2.136 Å, intensity 100
(4 0 2), 2θ = 61.2°, 1.515 Å, intensity 57
(0 0 2), 2θ = 42.0°, 2.151 Å, intensity 52
(4 4 0), 2θ = 61.4°, 1.510 Å, intensity 28
(2 2 1), 2θ = 36.3°, 2.472 Å, intensity 16
(5 2 1), 2θ = 62.4°, 1.488 Å, intensity 1

a = 8.543 Å, b = 8.543 Å, c = 4.301 Å
α = 90.00°, β = 90.00°, γ = 90.00°
Element x y z (fractional)
Na1 0.000 0.000 0.000
Mg1 0.000 0.245 0.500
Mg2 0.000 0.500 0.000
Mg3 0.000 0.755 0.500
Mg4 0.245 0.000 0.500
Mg5 0.245 0.245 0.000
Mg6 0.245 0.755 0.000
Mg7 0.247 0.500 0.500
Mg8 0.500 0.000 0.000
Mg9 0.500 0.247 0.500
Mg10 0.500 0.753 0.500
Mg11 0.753 0.500 0.500
Mg12 0.755 0.000 0.500
Mg13 0.755 0.245 0.000
Mg14 0.755 0.755 0.000
Si1 0.500 0.500 0.000
O1 0.000 0.000 0.500
O2 0.000 0.267 0.000
O3 0.000 0.500 0.500
O4 0.000 0.733 0.000
O5 0.252 0.252 0.500
O6 0.252 0.748 0.500
O7 0.266 0.500 0.000
O8 0.267 0.000 0.000
O9 0.500 0.000 0.500
O10 0.500 0.266 0.000
O11 0.500 0.500 0.500
O12 0.500 0.734 0.000
O13 0.733 0.000 0.000
O14 0.734 0.500 0.000
O15 0.748 0.252 0.500
O16 0.748 0.748 0.500



[2]
NaMg6SiO8: calculated X-ray diffraction stick pattern (Cu Kα (weighted mean of Kα1 and Kα2)), based on a crystal structure in the Materials Project, relaxed with GGA-PBE.
Neutral-atom scattering factors, no anomalous dispersion.

Largest 6 diffraction maxima, in order of falling intensity, 5 to 70 degrees two-theta:
(2 0 0), 2θ = 41.6°, 2.171 Å, intensity 100
(2 0 4), 2θ = 61.2°, 1.513 Å, intensity 50
(0 0 4), 2θ = 42.8°, 2.111 Å, intensity 42
(2 2 0), 2θ = 60.3°, 1.535 Å, intensity 28
(1 1 2), 2θ = 36.2°, 2.483 Å, intensity 16
(1 1 5), 2θ = 62.8°, 1.480 Å, intensity 2

a = 4.343 Å, b = 4.343 Å, c = 8.443 Å
α = 90.00°, β = 90.00°, γ = 90.00°
Element x y z (fractional)
Na1 0.000 0.000 0.000
Mg1 0.000 0.500 0.241
Mg2 0.000 0.500 0.759
Mg3 0.500 0.000 0.241
Mg4 0.500 0.000 0.759
Mg5 0.500 0.500 0.000
Mg6 0.500 0.500 0.500
Si1 0.000 0.000 0.500
O1 0.000 0.000 0.282
O2 0.000 0.000 0.718
O3 0.000 0.500 0.000
O4 0.000 0.500 0.500
O5 0.500 0.000 0.000
O6 0.500 0.000 0.500
O7 0.500 0.500 0.253
O8 0.500 0.500 0.747



[3]
NaMg6SiO8: calculated X-ray diffraction stick pattern (Cu Kα (weighted mean of Kα1 and Kα2)), based on a crystal structure in the Materials Project, relaxed with GGA-PBE.
Neutral-atom scattering factors, no anomalous dispersion.

Largest 6 diffraction maxima, in order of falling intensity, 5 to 70 degrees two-theta:
(2 0 0), 2θ = 42.3°, 2.137 Å, intensity 100
(2 0 4), 2θ = 61.1°, 1.517 Å, intensity 56
(0 0 4), 2θ = 41.9°, 2.155 Å, intensity 50
(2 2 0), 2θ = 61.4°, 1.511 Å, intensity 28
(1 1 2), 2θ = 36.3°, 2.474 Å, intensity 16
(1 0 1), 2θ = 23.2°, 3.828 Å, intensity 1

a = 4.273 Å, b = 4.273 Å, c = 8.618 Å
α = 90.00°, β = 90.00°, γ = 90.00°
Element x y z (fractional)
Na1 0.000 0.000 0.000
Mg1 0.000 0.000 0.500
Mg2 0.000 0.500 0.249
Mg3 0.000 0.500 0.751
Mg4 0.500 0.000 0.249
Mg5 0.500 0.000 0.751
Mg6 0.500 0.500 0.500
Si1 0.500 0.500 0.000
O1 0.000 0.000 0.265
O2 0.000 0.000 0.735
O3 0.000 0.500 0.000
O4 0.000 0.500 0.500
O5 0.500 0.000 0.000
O6 0.500 0.000 0.500
O7 0.500 0.500 0.237
O8 0.500 0.500 0.763